Record 1
This entry pairs a crystal structure of K2Be2Zn2Si3O11 with its calculated X-ray diffraction stick pattern. Radiation: Cu Kα, 1.54184 Å. Structure: a PBE-relaxed structure.

Most intense lines, 2θ from 5° to 70°, by angle:
(hkl)	two_theta	d_spacing	I_rel
0 1 1	10.79	8.203	638
0 0 2	11.65	7.597	405
0 1 3	19.74	4.498	303
2 1 1	28.31	3.152	547
2 0 2	28.62	3.119	643
0 2 4	29.82	2.996	222
0 1 5	30.82	2.901	399
0 3 3	32.75	2.735	1000
2 1 3	32.95	2.719	417
2 0 4	35.37	2.537	403

Crystal structure
Lattice parameters (Å, degrees): 6.8288 9.7449 15.1949 90.00 90.00 90.00
Space group Imma (No. 74)
Symmetry-distinct sites (fractional):
K: 0.0000 0.2500 0.0518 [4 per cell]
K: 0.0000 0.2500 0.6381 [4 per cell]
Be: 0.1747 0.0000 0.5000 [8 per cell]
Zn: 0.2500 0.0993 0.2500 [8 per cell]
Si: 0.0000 0.0906 0.8674 [8 per cell]
Si: 0.0000 0.2500 0.4025 [4 per cell]
O: 0.0000 0.0085 0.2223 [8 per cell]
O: 0.0000 0.1110 0.4637 [8 per cell]
O: 0.0000 0.2500 0.8271 [4 per cell]
O: 0.1970 0.2500 0.3393 [8 per cell]
O: 0.1995 0.0664 0.9222 [16 per cell]


Record 2
This entry pairs a crystal structure of Ho5Er4Zr2 with its calculated X-ray diffraction stick pattern. Radiation: Cu Kα, 1.54184 Å. Structure: a PBE-relaxed structure.

Most intense lines, 2θ from 5° to 70°, by angle:
(hkl)	two_theta	d_spacing	I_rel
0 1 2	30.59	2.923	364
3 0 -1	31.93	2.803	1000
1 1 -2	32.04	2.794	770
1 1 2	32.71	2.738	650
2 0 3	32.85	2.726	979
1 0 -4	33.03	2.712	955
2 1 0	33.53	2.673	408
2 1 1	34.82	2.577	637
2 1 -2	36.68	2.450	466
1 1 5	50.38	1.811	352

Crystal structure
Lattice parameters (Å, degrees): 8.5608 3.4264 11.2223 90.00 93.64 90.00
Space group P2/m (No. 10)
Symmetry-distinct sites (fractional):
Ho: 0.0000 0.0000 0.0000 [1 per cell]
Ho: 0.0784 0.0000 0.2959 [2 per cell]
Ho: 0.3082 0.0000 0.8316 [2 per cell]
Er: 0.2288 0.5000 0.5512 [2 per cell]
Er: 0.3431 0.5000 0.1189 [2 per cell]
Zr: 0.4475 0.0000 0.3689 [2 per cell]


Record 3
This entry pairs a crystal structure of TlH8Pt2Rh with its calculated X-ray diffraction stick pattern. Radiation: Cu Kα, 1.54184 Å. Structure: a PBE-relaxed structure.

Most intense lines, 2θ from 5° to 70°, by angle:
(hkl)	two_theta	d_spacing	I_rel
0 0 3	13.53	6.543	222
1 0 1	22.07	4.028	238
1 0 4	28.30	3.154	1000
0 1 5	31.49	2.841	599
1 1 0	37.86	2.376	840
0 2 4	47.94	1.898	238
2 0 5	50.04	1.823	171
1 0 10	51.58	1.772	282
3 -1 4	62.65	1.483	214
1 2 5	64.43	1.446	163

Crystal structure
Lattice parameters (Å, degrees): 4.7524 4.7524 19.6305 90.00 90.00 120.00
Space group R-3 (No. 148, hexagonal axes)
Symmetry-distinct sites (fractional):
Tl: 0.0000 0.0000 0.0000 [3 per cell]
H: 0.0000 0.0000 0.2906 [6 per cell]
H: 0.0089 0.2997 0.5548 [18 per cell]
Pt: 0.0000 0.0000 0.2098 [6 per cell]
Rh: 0.0000 0.0000 0.5000 [3 per cell]


Record 4
This entry pairs a crystal structure of Ac2CeTl6 with its calculated X-ray diffraction stick pattern. Radiation: Cu Kα, 1.54184 Å. Structure: a PBE-relaxed structure.

Most intense lines, 2θ from 5° to 70°, by angle:
(hkl)	two_theta	d_spacing	I_rel
0 0 1	23.68	3.757	86
1 1 1	30.57	2.925	1000
3 0 0	33.31	2.689	907
3 0 1	41.28	2.187	122
2 2 1	45.84	1.980	334
0 0 2	48.45	1.879	108
4 1 1	57.83	1.594	338
3 3 0	59.54	1.553	175
3 0 2	60.07	1.540	344
6 0 0	69.96	1.345	109

Crystal structure
Lattice parameters (Å, degrees): 9.3166 9.3166 3.7574 90.00 90.00 120.00
Space group P6/mmm (No. 191)
Symmetry-distinct sites (fractional):
Ac: 0.3333 0.6667 0.0000 [2 per cell]
Ce: 0.0000 0.0000 0.0000 [1 per cell]
Tl: 0.0000 0.3288 0.5000 [6 per cell]


Record 5
This entry pairs a crystal structure of ThUOs4 with its calculated X-ray diffraction stick pattern. Radiation: Cu Kα, 1.54184 Å. Structure: a PBE-relaxed structure.

Most intense lines, 2θ from 5° to 70°, by angle:
(hkl)	two_theta	d_spacing	I_rel
1 1 1	20.16	4.406	12
2 2 0	33.21	2.698	330
3 1 1	39.15	2.301	1000
2 2 2	40.97	2.203	341
4 0 0	47.67	1.908	26
4 2 2	59.33	1.558	131
5 1 1	63.33	1.469	334
4 4 0	69.71	1.349	283

Crystal structure
Lattice parameters (Å, degrees): 7.6306 7.6306 7.6306 90.00 90.00 90.00
Space group F-43m (No. 216)
Symmetry-distinct sites (fractional):
Th: 0.0000 0.0000 0.0000 [4 per cell]
U: 0.2500 0.2500 0.7500 [4 per cell]
Os: 0.1245 0.1245 0.3755 [16 per cell]


Record 6
This entry pairs a crystal structure of TmAlO3 with its calculated X-ray diffraction stick pattern. Radiation: Cu Kα, 1.54184 Å. Structure: a PBE-relaxed structure.

Most intense lines, 2θ from 5° to 70°, by angle:
(hkl)	two_theta	d_spacing	I_rel
1 0 1	23.93	3.719	602
0 2 0	24.14	3.687	370
1 1 1	26.85	3.320	277
1 2 1	34.25	2.618	1000
0 0 2	34.85	2.575	254
2 1 0	35.55	2.525	190
0 2 2	42.84	2.111	265
2 0 2	48.99	1.859	187
3 1 1	55.70	1.650	369
1 2 3	62.10	1.495	222

Crystal structure
Lattice parameters (Å, degrees): 5.3760 7.3736 5.1493 90.00 90.00 90.00
Space group Pnma (No. 62)
Symmetry-distinct sites (fractional):
Tm: 0.0627 0.2500 0.0157 [4 per cell]
Al: 0.0000 0.0000 0.5000 [4 per cell]
O: 0.0291 0.7500 0.4033 [4 per cell]
O: 0.2009 0.5503 0.7998 [8 per cell]


Record 7
This entry pairs a crystal structure of Sn5Hg2Te5 with its calculated X-ray diffraction stick pattern. Radiation: Cu Kα, 1.54184 Å. Structure: a PBE-relaxed structure.

Most intense lines, 2θ from 5° to 70°, by angle:
(hkl)	two_theta	d_spacing	I_rel
1 0 1	14.05	6.303	239
2 1 1	21.93	4.053	414
2 2 0	23.78	3.742	181
1 1 2	25.64	3.474	182
3 0 1	27.72	3.218	280
3 2 1	32.57	2.749	174
2 2 2	33.08	2.708	1000
4 0 0	33.88	2.646	485
3 1 2	35.25	2.546	397
5 3 2	55.82	1.647	227

Crystal structure
Lattice parameters (Å, degrees): 10.5843 10.5843 7.8454 90.00 90.00 90.00
Space group I4mm (No. 107)
Symmetry-distinct sites (fractional):
Sn: 0.0000 0.0000 0.0000 [2 per cell]
Sn: 0.0000 0.2652 0.6033 [8 per cell]
Hg: 0.0000 0.5000 0.3427 [4 per cell]
Te: 0.0000 0.0000 0.4334 [2 per cell]
Te: 0.1993 0.1993 0.8549 [8 per cell]


Record 8
This entry pairs a crystal structure of NaCaSn2S4 with its calculated X-ray diffraction stick pattern. Radiation: Cu Kα, 1.54184 Å. Structure: a PBE-relaxed structure.

Most intense lines, 2θ from 5° to 70°, by angle:
(hkl)	two_theta	d_spacing	I_rel
0 2 0	15.89	5.578	376
0 0 2	21.40	4.152	209
2 0 0	22.17	4.010	178
0 2 2	26.77	3.331	244
2 2 0	27.39	3.256	211
2 0 2	31.00	2.885	1000
0 4 0	32.09	2.789	466
2 2 2	35.02	2.562	230
4 0 0	45.23	2.005	851
4 4 0	56.53	1.628	176

Crystal structure
Lattice parameters (Å, degrees): 8.0197 11.1554 8.3050 90.00 90.00 90.00
Space group Fmm2 (No. 42)
Symmetry-distinct sites (fractional):
Na: 0.0000 0.0000 0.0000 [4 per cell]
Ca: 0.0000 0.0000 0.5019 [4 per cell]
Sn: 0.2500 0.2500 0.2323 [8 per cell]
S: 0.0000 0.2488 0.5146 [8 per cell]
S: 0.2499 0.0000 0.2529 [8 per cell]